Record 1
Starting from a structure optimized by DFT (PBE), the XRD peak list of SbICl2F6 was calculated for Cu Kα (λ = 1.5418 Å).
Peak positions follow from Bragg's law for the DFT cell and can differ from measured ones.

Cell lengths 8.2457, 8.2457, 13.1994 Å; angles 90.00, 90.00, 96.94 degrees
Fractional positions:
Sb (0.2085, 0.7915, 0.9392)
Sb (0.2915, 0.7085, 0.4392)
Sb (0.7085, 0.2915, 0.5608)
Sb (0.7915, 0.2085, 0.0608)
I (0.1585, 0.3415, 0.7500)
I (0.3415, 0.1585, 0.2500)
I (0.6585, 0.8415, 0.7500)
I (0.8415, 0.6585, 0.2500)
Cl (0.1305, 0.1934, 0.3589)
Cl (0.1934, 0.1305, 0.6411)
Cl (0.3066, 0.3695, 0.1411)
Cl (0.3695, 0.3066, 0.8589)
Cl (0.6305, 0.6934, 0.1411)
Cl (0.6934, 0.6305, 0.8589)
Cl (0.8066, 0.8695, 0.3589)
Cl (0.8695, 0.8066, 0.6411)
F (0.0348, 0.7128, 0.0283)
F (0.0747, 0.9253, 0.8671)
F (0.1144, 0.6378, 0.3441)
F (0.1378, 0.6144, 0.8441)
F (0.1513, 0.8487, 0.5014)
F (0.2128, 0.5348, 0.5283)
F (0.2872, 0.9652, 0.0283)
F (0.3487, 0.6513, 0.0014)
F (0.3622, 0.8856, 0.3441)
F (0.3856, 0.8622, 0.8441)
F (0.4253, 0.5747, 0.3671)
F (0.4652, 0.7872, 0.5283)
F (0.5348, 0.2128, 0.4717)
F (0.5747, 0.4253, 0.6329)
F (0.6144, 0.1378, 0.1559)
F (0.6378, 0.1144, 0.6559)
F (0.6513, 0.3487, 0.9986)
F (0.7128, 0.0348, 0.9717)
F (0.7872, 0.4652, 0.4717)
F (0.8487, 0.1513, 0.4986)
F (0.8622, 0.3856, 0.1559)
F (0.8856, 0.3622, 0.6559)
F (0.9253, 0.0747, 0.1329)
F (0.9652, 0.2872, 0.9717)

Largest 10 diffraction maxima, in order of rising 2θ, 2θ from 5° to 70°:
17.26°, I 58; 19.69°, I 47; 21.10°, I 100; 21.71°, I 55; 22.75°, I 57; 24.07°, I 27; 24.85°, I 35; 39.28°, I 25; 40.67°, I 18; 41.55°, I 22

Record 2
Starting from a structure optimized by DFT (PBE), the XRD peak list of Cr2Rh3 was calculated for Cu Kα (λ = 1.5418 Å).
Peak positions follow from Bragg's law for the DFT cell and can differ from measured ones.

Cell lengths 10.7807, 10.7807, 10.7807 Å; angles 14.30, 14.30, 14.30 degrees
Fractional positions:
Cr (0.0999, 0.0999, 0.0999)
Cr (0.9001, 0.9001, 0.9001)
Rh (0.2958, 0.2958, 0.2958)
Rh (0.5000, 0.5000, 0.5000)
Rh (0.7042, 0.7042, 0.7042)

Largest 10 diffraction maxima, in order of rising 2θ, 2θ from 5° to 70°:
8.29°, I 4; 16.62°, I 5; 25.04°, I 12; 38.85°, I 4; 40.41°, I 7; 41.32°, I 100; 42.36°, I 29; 48.40°, I 61; 56.46°, I 6; 68.83°, I 4

Record 3
Starting from a structure optimized by DFT (PBE), the XRD peak list of SmAgSn3 was calculated for Cu Kα (λ = 1.5418 Å).
Peak positions follow from Bragg's law for the DFT cell and can differ from measured ones.

Cell lengths 12.9657, 6.2729, 6.2555 Å; angles 90.00, 90.00, 90.00 degrees
Fractional positions:
Sm (0.1915, 0.0063, 0.2500)
Sm (0.1915, 0.4937, 0.7500)
Sm (0.8085, 0.5063, 0.2500)
Sm (0.8085, 0.9937, 0.7500)
Ag (0.3896, 0.2500, 0.0000)
Ag (0.3896, 0.2500, 0.5000)
Ag (0.6104, 0.7500, 0.0000)
Ag (0.6104, 0.7500, 0.5000)
Sn (0.0007, 0.7500, 0.0000)
Sn (0.0007, 0.7500, 0.5000)
Sn (0.2422, 0.5093, 0.2500)
Sn (0.2422, 0.9907, 0.7500)
Sn (0.4260, 0.6493, 0.7500)
Sn (0.4260, 0.8507, 0.2500)
Sn (0.5740, 0.1493, 0.7500)
Sn (0.5740, 0.3507, 0.2500)
Sn (0.7578, 0.0093, 0.2500)
Sn (0.7578, 0.4907, 0.7500)
Sn (0.9993, 0.2500, 0.0000)
Sn (0.9993, 0.2500, 0.5000)

Largest 10 diffraction maxima, in order of rising 2θ, 2θ from 5° to 70°:
31.72°, I 100; 32.71°, I 19; 34.28°, I 25; 34.59°, I 38; 34.91°, I 29; 35.40°, I 68; 38.31°, I 17; 40.74°, I 45; 54.49°, I 25; 68.48°, I 26

Record 4
Starting from a structure optimized by DFT (PBE), the XRD peak list of Np4CoP8 was calculated for Cu Kα (λ = 1.5418 Å).
Peak positions follow from Bragg's law for the DFT cell and can differ from measured ones.

Cell lengths 3.8146, 3.8944, 15.0870 Å; angles 90.00, 90.00, 90.00 degrees
Fractional positions:
Np (0.0000, 0.0000, 0.0000)
Np (0.0000, 0.5000, 0.2077)
Np (0.5000, 0.0000, 0.5038)
Np (0.5000, 0.5000, 0.7175)
Co (0.5000, 0.0000, 0.2939)
P (0.0000, 0.0000, 0.3622)
P (0.0000, 0.0000, 0.6559)
P (0.0000, 0.5000, 0.5666)
P (0.0000, 0.5000, 0.8594)
P (0.5000, 0.0000, 0.1471)
P (0.5000, 0.0000, 0.8588)
P (0.5000, 0.5000, 0.0596)
P (0.5000, 0.5000, 0.3615)

Largest 10 diffraction maxima, in order of rising 2θ, 2θ from 5° to 70°:
23.59°, I 30; 24.06°, I 49; 25.74°, I 75; 33.41°, I 38; 37.54°, I 100; 38.02°, I 44; 42.81°, I 23; 46.65°, I 19; 54.97°, I 20; 61.69°, I 22

Record 5
Starting from a structure optimized by DFT (PBE), the XRD peak list of Ac2CuPbO6 was calculated for Cu Kα (λ = 1.5418 Å).
Peak positions follow from Bragg's law for the DFT cell and can differ from measured ones.

Cell lengths 5.9472, 5.9472, 5.8690 Å; angles 116.37, 116.37, 57.25 degrees
Fractional positions:
Ac (0.2411, 0.2411, 0.2184)
Ac (0.7589, 0.7589, 0.7816)
Cu (0.5000, 0.5000, 0.0000)
Pb (0.0000, 0.0000, 0.5000)
O (0.1962, 0.6764, 0.1697)
O (0.2334, 0.2334, 0.6339)
O (0.3236, 0.8038, 0.8303)
O (0.6764, 0.1962, 0.1697)
O (0.7666, 0.7666, 0.3661)
O (0.8038, 0.3236, 0.8303)

Largest 10 diffraction maxima, in order of rising 2θ, 2θ from 5° to 70°:
28.84°, I 100; 30.20°, I 89; 30.53°, I 38; 31.40°, I 40; 40.05°, I 24; 44.36°, I 40; 51.75°, I 23; 52.38°, I 19; 54.88°, I 18; 55.15°, I 18

Record 6
Starting from a structure optimized by DFT (PBE), the XRD peak list of CePm2Mg3 was calculated for Cu Kα (λ = 1.5418 Å).
Peak positions follow from Bragg's law for the DFT cell and can differ from measured ones.

Cell lengths 3.8341, 3.8341, 11.6901 Å; angles 90.00, 90.00, 90.00 degrees
Fractional positions:
Ce (0.0000, 0.0000, 0.0000)
Pm (0.0000, 0.0000, 0.3330)
Pm (0.0000, 0.0000, 0.6670)
Mg (0.5000, 0.5000, 0.1668)
Mg (0.5000, 0.5000, 0.5000)
Mg (0.5000, 0.5000, 0.8332)

Largest 10 diffraction maxima, in order of rising 2θ, 2θ from 5° to 70°:
22.82°, I 30; 23.20°, I 58; 32.77°, I 100; 33.04°, I 49; 40.54°, I 27; 47.42°, I 18; 52.70°, I 13; 53.25°, I 12; 58.32°, I 19; 58.84°, I 37